No. 1
The following is a simulated PXRD pattern of ScBiO4. It was derived from a PBE-relaxed structure, using a wavelength of 1.5418 Å.
Neutral-atom scattering factors, no anomalous dispersion.

Structure:
Lattice parameters (Å, degrees): 4.928 4.928 3.324 90.00 90.00 92.26
Fractional coordinates of all 6 atoms:
Sc1 0.000 0.000 0.000
Bi1 0.500 0.500 0.500
O1 0.191 0.191 0.500
O2 0.304 0.696 0.000
O3 0.696 0.304 0.000
O4 0.809 0.809 0.500

The 12 most intense peaks (10° ≤ 2θ ≤ 90°), in order of rising 2θ:
Position (°2θ), I (rel.)
18.01, 98
25.07, 63
26.09, 57
32.50, 100
36.50, 29
37.04, 33
41.66, 20
45.87, 21
49.08, 43
50.24, 41
58.60, 20
63.18, 25

No. 2
The following is a simulated PXRD pattern of Tb2Y3Hg3. It was derived from a PBE-relaxed structure, using a wavelength of 1.5418 Å.
Neutral-atom scattering factors, no anomalous dispersion.

Structure:
Lattice parameters (Å, degrees): 11.543 11.543 11.543 161.36 153.43 32.66
Fractional coordinates of all 8 atoms:
Tb1 0.232 0.232 0.000
Tb2 0.768 0.768 0.000
Y1 0.000 0.000 0.000
Y2 0.379 0.879 0.500
Y3 0.621 0.121 0.500
Hg1 0.118 0.618 0.500
Hg2 0.500 0.500 0.000
Hg3 0.882 0.382 0.500

The 12 most intense peaks (10° ≤ 2θ ≤ 90°), in order of rising 2θ:
Position (°2θ), I (rel.)
20.61, 14
32.33, 22
33.49, 100
33.79, 26
47.46, 15
48.70, 9
58.40, 12
59.66, 9
60.25, 19
60.59, 10
70.35, 11
81.14, 8

No. 3
The following is a simulated PXRD pattern of BaCeBi4Rh2. It was derived from a PBE-relaxed structure, using a wavelength of 1.5418 Å.
Neutral-atom scattering factors, no anomalous dispersion.

Structure:
Lattice parameters (Å, degrees): 4.792 4.792 10.832 90.00 90.00 90.00
Fractional coordinates of all 8 atoms:
Ba1 0.000 0.000 0.000
Ce1 0.000 0.000 0.500
Bi1 0.000 0.500 0.257
Bi2 0.000 0.500 0.743
Bi3 0.500 0.000 0.257
Bi4 0.500 0.000 0.743
Rh1 0.500 0.500 0.379
Rh2 0.500 0.500 0.621

The 12 most intense peaks (10° ≤ 2θ ≤ 90°), in order of rising 2θ:
Position (°2θ), I (rel.)
16.37, 27
31.14, 100
33.08, 13
37.54, 43
38.17, 11
41.20, 12
42.74, 20
50.89, 16
54.14, 15
57.87, 16
63.78, 27
83.24, 12